[1]
For Ac2ScZnO6, a cell relaxed with GGA-PBE gives the simulated X-ray diffraction stick pattern in this record (Cu Kα, 1.54184 Å).
Lines closer than 0.1° are merged.

Most intense lines, 10 to 90 degrees two-theta, by intensity:
hkl 1 1 -3, 2θ 30.83, 2.900 Å, rel. 100
hkl 1 1 -1, 2θ 21.62, 4.111 Å, rel. 28
hkl 3 1 -5, 2θ 54.86, 1.674 Å, rel. 22
hkl 3 1 -1, 2θ 54.70, 1.678 Å, rel. 21
hkl 2 2 -2, 2θ 44.06, 2.055 Å, rel. 19
hkl 2 0 0, 2θ 37.94, 2.371 Å, rel. 19
hkl 0 2 0, 2θ 30.71, 2.912 Å, rel. 18
hkl 0 0 2, 2θ 21.73, 4.090 Å, rel. 15
hkl 0 0 4, 2θ 44.29, 2.045 Å, rel. 11
hkl 4 0 -4, 2θ 64.18, 1.451 Å, rel. 9

Cell and atoms:
Cell lengths 5.804, 5.823, 10.017 Å; angles 90.00, 125.25, 90.00 degrees
Space group P2_1/c (No. 14)
Symmetry-distinct sites (fractional):
Ac1 0.241 0.035 0.249 (multiplicity 4)
Sc1 0.500 0.000 0.000 (multiplicity 2)
Zn1 0.000 0.000 0.500 (multiplicity 2)
O1 0.175 0.214 0.958 (multiplicity 4)
O2 0.243 0.716 0.958 (multiplicity 4)
O3 0.327 0.020 0.750 (multiplicity 4)

[2]
For AcSeO, a cell relaxed with GGA-PBE gives the simulated X-ray diffraction stick pattern in this record (Cu Kα, 1.54184 Å).
Lines closer than 0.1° are merged.

Most intense lines, 10 to 90 degrees two-theta, by intensity:
hkl 1 0 3, 2θ 26.60, 3.351 Å, rel. 100
hkl 1 1 0, 2θ 29.54, 3.024 Å, rel. 56
hkl 2 1 3, 2θ 50.65, 1.802 Å, rel. 36
hkl 1 0 5, 2θ 34.77, 2.580 Å, rel. 32
hkl 2 0 0, 2θ 42.27, 2.138 Å, rel. 27
hkl 0 0 2, 2θ 10.94, 8.089 Å, rel. 27
hkl 2 1 5, 2θ 55.84, 1.646 Å, rel. 17
hkl 1 1 4, 2θ 37.12, 2.422 Å, rel. 13
hkl 1 1 8, 2θ 54.60, 1.681 Å, rel. 13
hkl 1 1 6, 2θ 45.05, 2.012 Å, rel. 12

Cell and atoms:
Cell lengths 4.276, 4.276, 16.178 Å; angles 90.00, 90.00, 90.00 degrees
Space group I4/mmm (No. 139)
Symmetry-distinct sites (fractional):
Ac1 0.000 0.000 0.170 (multiplicity 4)
Se1 0.000 0.000 0.426 (multiplicity 4)
O1 0.000 0.500 0.250 (multiplicity 4)

[3]
For Ac4Se5O, a cell relaxed with GGA-PBE gives the simulated X-ray diffraction stick pattern in this record (Cu Kα, 1.54184 Å).
Lines closer than 0.1° are merged.

Most intense lines, 10 to 90 degrees two-theta, by intensity:
hkl 1 1 2, 2θ 25.66, 3.472 Å, rel. 100
hkl 1 2 1, 2θ 30.98, 2.886 Å, rel. 97
hkl 1 2 5, 2θ 38.78, 2.322 Å, rel. 88
hkl 0 0 4, 2θ 18.52, 4.790 Å, rel. 62
hkl 0 2 2, 2θ 23.76, 3.745 Å, rel. 54
hkl 1 0 7, 2θ 39.31, 2.292 Å, rel. 44
hkl 0 2 6, 2θ 35.75, 2.512 Å, rel. 38
hkl 1 0 1, 2θ 21.70, 4.095 Å, rel. 37
hkl 2 2 6, 2θ 57.26, 1.609 Å, rel. 29
hkl 2 0 0, 2θ 43.16, 2.096 Å, rel. 29

Cell and atoms:
Cell lengths 4.192, 8.137, 19.159 Å; angles 90.00, 90.00, 90.00 degrees
Space group Immm (No. 71)
Symmetry-distinct sites (fractional):
Ac1 0.000 0.000 0.220 (multiplicity 4)
Ac2 0.000 0.280 0.500 (multiplicity 4)
Se1 0.000 0.258 0.339 (multiplicity 8)
Se2 0.000 0.500 0.000 (multiplicity 2)
O1 0.000 0.000 0.000 (multiplicity 2)

[4]
For AcSeO5, a cell relaxed with GGA-PBE gives the simulated X-ray diffraction stick pattern in this record (Cu Kα, 1.54184 Å).
Lines closer than 0.1° are merged.

Most intense lines, 10 to 90 degrees two-theta, by intensity:
hkl 1 1 2, 2θ 29.20, 3.058 Å, rel. 100
hkl 0 2 0, 2θ 22.75, 3.908 Å, rel. 92
hkl 2 0 0, 2θ 18.72, 4.739 Å, rel. 62
hkl 2 0 1, 2θ 22.56, 3.941 Å, rel. 58
hkl 1 3 2, 2θ 44.17, 2.050 Å, rel. 44
hkl 2 2 1, 2θ 32.26, 2.775 Å, rel. 35
hkl 1 0 1, 2θ 15.60, 5.680 Å, rel. 33
hkl 4 0 1, 2θ 40.12, 2.247 Å, rel. 30
hkl 4 2 1, 2θ 46.62, 1.948 Å, rel. 28
hkl 2 2 0, 2θ 29.63, 3.015 Å, rel. 26

Cell and atoms:
Cell lengths 9.478, 7.817, 7.096 Å; angles 90.00, 90.00, 90.00 degrees
Space group Pnma (No. 62)
Symmetry-distinct sites (fractional):
Ac1 0.058 0.250 0.148 (multiplicity 4)
Se1 0.080 0.750 0.316 (multiplicity 4)
O1 0.035 0.250 0.508 (multiplicity 4)
O2 0.051 0.583 0.171 (multiplicity 8)
O3 0.200 0.750 0.776 (multiplicity 4)
O4 0.245 0.750 0.393 (multiplicity 4)